Record 1
For MnVSb, a crystal structure in the Materials Project, relaxed with PBE gives the simulated X-ray powder pattern in this record (a wavelength of 1.5418 Å).

Top 10 peaks for 2θ from 15° to 90°, low angle first:
two_theta  d [Å]  I_rel  index
22.98  3.870  12  1 0 0
28.35  3.148  31  1 0 1
33.12  2.705  18  0 0 2
40.36  2.235  100  1 1 0
40.69  2.217  73  1 0 2
53.17  1.723  28  1 1 2
58.66  1.574  23  2 0 2
73.39  1.290  16  3 0 0
73.61  1.287  23  2 1 2
83.56  1.157  22  1 1 4

Structure:
a b c (Å): 4.4692 4.4692 5.4099
angles (deg): 90.00 90.00 120.00
Space group P6_3/mmc (No. 194)
One atom of each set of equivalent atoms:
Mn: 0.3333 0.6667 0.2500 [2 per cell]
V: 0.0000 0.0000 0.0000 [2 per cell]
Sb: 0.3333 0.6667 0.7500 [2 per cell]

***

Record 2
For ScMn2, a crystal structure in the Materials Project, relaxed with PBE gives the simulated X-ray powder pattern in this record (a wavelength of 1.5418 Å).

Top 10 peaks for 2θ from 15° to 90°, low angle first:
two_theta  d [Å]  I_rel  index
36.72  2.448  22  1 1 0
39.76  2.267  65  1 0 3
43.26  2.091  100  1 1 2
44.18  2.050  95  2 0 1
45.06  2.012  24  0 0 4
48.54  1.875  27  2 0 2
68.17  1.376  19  2 1 3
70.64  1.333  20  3 0 2
73.94  1.282  27  2 0 5
78.08  1.224  24  2 2 0

Structure:
a b c (Å): 4.8955 4.8955 8.0478
angles (deg): 90.00 90.00 120.00
Space group P6_3/mmc (No. 194)
One atom of each set of equivalent atoms:
Sc: 0.3333 0.6667 0.0631 [4 per cell]
Mn: 0.0000 0.0000 0.0000 [2 per cell]
Mn: 0.1710 0.3420 0.7500 [6 per cell]

***

Record 3
For Sc2MnSe4, a crystal structure in the Materials Project, relaxed with PBE gives the simulated X-ray powder pattern in this record (a wavelength of 1.5418 Å).

Top 10 peaks for 2θ from 15° to 90°, low angle first:
two_theta  d [Å]  I_rel  index
26.51  3.362  28  3 1 1
27.71  3.219  68  2 2 2
32.11  2.788  82  4 0 0
42.11  2.146  20  5 1 1
46.05  1.971  100  4 4 0
54.59  1.681  29  6 2 2
57.24  1.609  19  4 4 4
67.16  1.394  15  8 0 0
76.40  1.247  24  8 4 0
85.28  1.138  30  8 4 4

Structure:
a b c (Å): 11.151 11.151 11.151
angles (deg): 90.00 90.00 90.00
Space group Fd-3m (No. 227, origin choice 2)
One atom of each set of equivalent atoms:
Sc: 0.000 0.000 0.000 [16 per cell]
Mn: 0.125 0.125 0.625 [8 per cell]
Se: 0.006 0.006 0.244 [32 per cell]

***

Record 4
For Sc4Mn4Si7, a crystal structure in the Materials Project, relaxed with PBE gives the simulated X-ray powder pattern in this record (a wavelength of 1.5418 Å).

Top 10 peaks for 2θ from 15° to 90°, low angle first:
two_theta  d [Å]  I_rel  index
21.39  4.154  20  3 1 0
38.58  2.334  100  5 0 1
38.78  2.322  39  4 4 0
41.24  2.189  44  6 0 0
41.66  2.168  88  3 1 2
45.11  2.010  27  4 0 2
46.21  1.965  31  3 3 2
47.29  1.922  19  4 2 2
65.39  1.427  25  7 3 2
65.55  1.424  19  5 0 3

Structure:
a b c (Å): 13.135 13.135 5.084
angles (deg): 90.00 90.00 90.00
Space group I4/mmm (No. 139)
One atom of each set of equivalent atoms:
Sc: 0.000 0.199 0.000 [8 per cell]
Sc: 0.140 0.140 0.500 [8 per cell]
Mn: 0.148 0.352 0.250 [16 per cell]
Si: 0.000 0.000 0.250 [4 per cell]
Si: 0.000 0.298 0.500 [8 per cell]
Si: 0.000 0.410 0.000 [8 per cell]
Si: 0.210 0.210 0.000 [8 per cell]

***

Record 5
For ScMnSi, a crystal structure in the Materials Project, relaxed with PBE gives the simulated X-ray powder pattern in this record (a wavelength of 1.5418 Å).

Top 10 peaks for 2θ from 15° to 90°, low angle first:
two_theta  d [Å]  I_rel  index
15.68  5.652  17  1 0 0
36.14  2.485  100  1 1 1
39.61  2.275  87  2 0 1
42.31  2.136  73  2 1 0
47.40  1.918  32  0 0 2
48.31  1.884  13  3 0 0
48.80  1.866  36  2 1 1
64.18  1.451  18  3 1 1
65.39  1.427  35  2 1 2
77.75  1.228  19  3 2 1

Structure:
a b c (Å): 6.5261 6.5261 3.8360
angles (deg): 90.00 90.00 120.00
Space group P-62m (No. 189)
One atom of each set of equivalent atoms:
Sc: 0.0000 0.5834 0.0000 [3 per cell]
Mn: 0.0000 0.2298 0.5000 [3 per cell]
Si: 0.0000 0.0000 0.0000 [1 per cell]
Si: 0.3333 0.6667 0.5000 [2 per cell]

***

Record 6
For Sc2Mn3Si, a crystal structure in the Materials Project, relaxed with PBE gives the simulated X-ray powder pattern in this record (a wavelength of 1.5418 Å).

Top 10 peaks for 2θ from 15° to 90°, low angle first:
two_theta  d [Å]  I_rel  index
21.95  4.049  22  0 0 2
39.52  2.280  73  1 0 3
42.43  2.130  18  2 0 0
43.02  2.102  71  1 1 2
43.95  2.060  100  2 0 1
44.77  2.024  18  0 0 4
48.27  1.885  16  2 0 2
67.76  1.383  19  2 1 3
73.45  1.289  27  2 0 5
77.63  1.230  21  2 2 0

Structure:
a b c (Å): 4.9197 4.9197 8.0978
angles (deg): 90.00 90.00 120.00
Space group P6_3/mmc (No. 194)
One atom of each set of equivalent atoms:
Sc: 0.3333 0.6667 0.0662 [4 per cell]
Mn: 0.1746 0.3492 0.7500 [6 per cell]
Si: 0.0000 0.0000 0.0000 [2 per cell]

***

Record 7
For ScMnSi2, a crystal structure in the Materials Project, relaxed with PBE gives the simulated X-ray powder pattern in this record (a wavelength of 1.5418 Å).

Top 10 peaks for 2θ from 15° to 90°, low angle first:
two_theta  d [Å]  I_rel  index
22.59  3.936  33  0 0 2
38.28  2.351  39  1 4 0
38.80  2.321  100  3 1 2
40.89  2.207  76  3 3 0
41.08  2.197  58  4 1 0
41.23  2.190  97  2 3 2
43.71  2.071  81  0 4 2
46.12  1.968  46  0 0 4
48.36  1.882  25  2 4 2
69.67  1.350  23  6 2 2

Structure:
a b c (Å): 9.022 9.741 7.872
angles (deg): 90.00 90.00 90.00
Space group Pbam (No. 55)
One atom of each set of equivalent atoms:
Sc: 0.167 0.176 0.000 [4 per cell]
Sc: 0.172 0.452 0.247 [8 per cell]
Mn: 0.000 0.000 0.245 [4 per cell]
Mn: 0.081 0.746 0.248 [8 per cell]
Si: 0.038 0.622 0.000 [4 per cell]
Si: 0.043 0.628 0.500 [4 per cell]
Si: 0.110 0.893 0.500 [4 per cell]
Si: 0.127 0.890 0.000 [4 per cell]
Si: 0.168 0.182 0.348 [8 per cell]

***

Record 8
For Sc2MnSn, a crystal structure in the Materials Project, relaxed with PBE gives the simulated X-ray powder pattern in this record (a wavelength of 1.5418 Å).

Top 10 peaks for 2θ from 15° to 90°, low angle first:
two_theta  d [Å]  I_rel  index
22.83  3.894  19  1 1 1
26.43  3.373  7  2 0 0
37.72  2.385  100  2 2 0
44.55  2.034  11  3 1 1
54.41  1.686  17  4 0 0
59.76  1.547  5  3 3 1
68.10  1.377  33  4 2 2
72.86  1.298  4  5 1 1
80.56  1.192  10  4 4 0
85.09  1.140  4  5 3 1

Structure:
a b c (Å): 6.745 6.745 6.745
angles (deg): 90.00 90.00 90.00
Space group F-43m (No. 216)
One atom of each set of equivalent atoms:
Sc: 0.000 0.000 0.000 [4 per cell]
Sc: 0.250 0.250 0.250 [4 per cell]
Mn: 0.250 0.250 0.750 [4 per cell]
Sn: 0.000 0.000 0.500 [4 per cell]

***

Record 9
For Sc6MnTe2, a crystal structure in the Materials Project, relaxed with PBE gives the simulated X-ray powder pattern in this record (a wavelength of 1.5418 Å).

Top 10 peaks for 2θ from 15° to 90°, low angle first:
two_theta  d [Å]  I_rel  index
23.02  3.863  76  1 1 0
26.60  3.351  25  1 0 1
32.75  2.734  93  1 1 1
35.49  2.529  100  2 0 1
40.48  2.228  55  3 0 0
42.73  2.116  59  2 1 1
46.91  1.937  21  0 0 2
63.65  1.462  27  3 0 2
65.45  1.426  23  3 2 1
68.76  1.365  22  4 1 1

Structure:
a b c (Å): 7.7194 7.7194 3.8738
angles (deg): 90.00 90.00 120.00
Space group P-62m (No. 189)
One atom of each set of equivalent atoms:
Sc: 0.0000 0.2343 0.0000 [3 per cell]
Sc: 0.0000 0.6195 0.5000 [3 per cell]
Mn: 0.0000 0.0000 0.5000 [1 per cell]
Te: 0.3333 0.6667 0.0000 [2 per cell]

***

Record 10
For Mn2SiSe4, a crystal structure in the Materials Project, relaxed with PBE gives the simulated X-ray powder pattern in this record (a wavelength of 1.5418 Å).

Top 10 peaks for 2θ from 15° to 90°, low angle first:
two_theta  d [Å]  I_rel  index
28.45  3.137  17  0 0 2
30.01  2.978  100  2 2 1
30.21  2.958  54  4 0 1
39.16  2.300  54  2 2 2
39.32  2.291  22  4 0 2
46.35  1.959  24  0 4 0
46.77  1.942  41  6 2 0
51.36  1.779  28  2 2 3
51.49  1.775  15  4 0 3
56.32  1.633  16  4 4 1

Structure:
a b c (Å): 13.419 7.836 6.274
angles (deg): 90.00 90.00 90.00
Space group Pnma (No. 62)
One atom of each set of equivalent atoms:
Mn: 0.000 0.000 0.000 [4 per cell]
Mn: 0.234 0.250 0.496 [4 per cell]
Si: 0.089 0.750 0.406 [4 per cell]
Se: 0.069 0.250 0.743 [4 per cell]
Se: 0.093 0.750 0.771 [4 per cell]
Se: 0.168 0.520 0.249 [8 per cell]

***

Record 11
For Mn2SnSe4, a crystal structure in the Materials Project, relaxed with PBE gives the simulated X-ray powder pattern in this record (a wavelength of 1.5418 Å).

Top 10 peaks for 2θ from 15° to 90°, low angle first:
two_theta  d [Å]  I_rel  index
17.21  5.152  37  2 1 0
26.44  3.371  48  3 1 1
27.08  3.292  51  1 2 1
29.43  3.035  100  2 2 1
29.66  3.012  51  4 0 1
30.17  2.962  34  1 1 2
37.96  2.371  53  2 2 2
45.77  1.982  46  0 4 0
46.25  1.963  83  6 2 0
49.39  1.845  53  2 2 3

Structure:
a b c (Å): 13.555 7.929 6.574
angles (deg): 90.00 90.00 90.00
Space group Pnma (No. 62)
One atom of each set of equivalent atoms:
Mn: 0.000 0.000 0.000 [4 per cell]
Mn: 0.232 0.250 0.500 [4 per cell]
Sn: 0.088 0.750 0.423 [4 per cell]
Se: 0.081 0.250 0.759 [4 per cell]
Se: 0.092 0.750 0.816 [4 per cell]
Se: 0.170 0.001 0.236 [8 per cell]